Record 1
The following is a computed powder X-ray diffraction pattern of Ac2La4Tm7. It was derived from a structure optimized by DFT (GGA-PBE), using Cu Ka.
Lines closer than 0.1° are merged.

Cell and atoms:
Cell lengths 6.2133, 6.2133, 13.6315 Å; angles 90.00, 90.00, 120.00 degrees
Space group P-31m (No. 162)
Symmetry-distinct sites (fractional):
Ac (0.3333, 0.6667, 0.0000) [2 per cell]
La (0.0000, 0.0000, 0.3922) [2 per cell]
La (0.3333, 0.6667, 0.5000) [2 per cell]
Tm (0.0000, 0.0000, 0.0000) [1 per cell]
Tm (0.0000, 0.3497, 0.2139) [6 per cell]

Top 10 peaks for 15 to 90 degrees two-theta, low angle first:
2theta  d [Å]  intensity
26.15  3.408  21
29.49  3.029  41
31.65  2.827  100
32.85  2.726  17
34.99  2.565  39
49.72  1.834  19
50.91  1.794  29
61.19  1.515  18
61.93  1.498  16
83.55  1.157  16

Record 2
The following is a computed powder X-ray diffraction pattern of AcLa9Tm4. It was derived from a structure optimized by DFT (GGA-PBE), using Cu Ka.
Lines closer than 0.1° are merged.

Cell and atoms:
Cell lengths 10.0774, 10.0774, 11.6446 Å; angles 90.00, 90.00, 120.00 degrees
Space group P6_3/mmc (No. 194)
Symmetry-distinct sites (fractional):
Ac (0.3333, 0.6667, 0.2500) [2 per cell]
La (0.0867, 0.5434, 0.7500) [6 per cell]
La (0.2038, 0.4076, 0.0239) [12 per cell]
Tm (0.0000, 0.0000, 0.0000) [2 per cell]
Tm (0.1087, 0.2173, 0.7500) [6 per cell]

Top 10 peaks for 15 to 90 degrees two-theta, low angle first:
2theta  d [Å]  intensity
21.75  4.086  15
30.71  2.911  39
30.83  2.900  23
31.16  2.870  100
31.70  2.822  36
35.63  2.520  15
50.18  1.818  19
54.65  1.679  19
54.90  1.672  35
63.99  1.455  21

Record 3
The following is a computed powder X-ray diffraction pattern of AcLa2Tm3. It was derived from a structure optimized by DFT (GGA-PBE), using Cu Ka.
Lines closer than 0.1° are merged.

Cell and atoms:
Cell lengths 9.235, 10.060, 9.222 Å; angles 90.00, 101.77, 90.00 degrees
Space group C2/c (No. 15)
Symmetry-distinct sites (fractional):
Ac (0.000, 0.086, 0.250) [4 per cell]
La (0.123, 0.252, 0.627) [8 per cell]
Tm (0.000, 0.426, 0.250) [4 per cell]
Tm (0.240, 0.413, 0.000) [8 per cell]

Top 10 peaks for 15 to 90 degrees two-theta, low angle first:
2theta  d [Å]  intensity
24.87  3.580  10
30.66  2.916  100
30.77  2.906  57
39.94  2.257  17
43.96  2.060  26
54.56  1.682  14
54.64  1.680  25
60.76  1.524  25
78.08  1.224  8
86.21  1.128  8